This entry pairs a crystal structure of RbMnH2F8 with its calculated powder XRD pattern. Radiation: CuKα. Structure: DFT lattice parameters and positions (PBE+U).
Peak positions follow from Bragg's law for the DFT cell and can differ from measured ones.

Structural model:
```
data_RbMnH2F8
_cell_length_a 4.7344
_cell_length_b 4.8508
_cell_length_c 7.8722
_cell_angle_alpha 96.37
_cell_angle_beta 91.41
_cell_angle_gamma 108.95
_space_group_name_H-M_alt 'P -1'
_space_group_IT_number 2
loop_
_space_group_symop_operation_xyz
'x,y,z'
'-x,-y,-z'
loop_
_atom_site_label
_atom_site_fract_x
_atom_site_fract_y
_atom_site_fract_z
Rb1 0.0000 0.0000 0.0000
Mn1 0.0000 0.0000 0.5000
H1 0.4557 0.6764 0.2132
F1 0.1694 0.7079 0.5252
F2 0.2427 0.2245 0.6858
F3 0.2840 0.1526 0.3537
F4 0.3085 0.6267 0.1163
```

Main lines, by intensity (10 to 80 degrees two-theta):
2theta, I (rel.), hkl
22.8, 100, 1 -1 0
19.9, 59, 1 0 0
19.5, 56, 0 1 0
29.4, 49, 1 0 -2
38.0, 31, 1 -2 0
32.0, 25, 0 1 2
42.2, 25, 1 1 2
37.6, 25, 1 1 -2
32.4, 16, 1 1 0
31.6, 16, 1 -1 2